No. 1
The following is a computed powder X-ray diffraction pattern of LaCuSb2. It was derived from DFT lattice parameters and positions (PBE), using Cu Kα.
Neutral-atom scattering factors, no anomalous dispersion.

Crystal structure
Lattice parameters (Å, degrees): 4.3886 4.3886 10.3410 90.00 90.00 90.00
Space group P4/nmm (No. 129, origin choice 2)
Unique sites:
1 La 0.2500 0.2500 0.2493 x2
2 Cu 0.2500 0.7500 0.0000 x2
3 Sb 0.2500 0.2500 0.8514 x2
4 Sb 0.2500 0.7500 0.5000 x2

The 6 most intense peaks (2θ = 15–90°), by intensity:
- 2θ = 33.68°, 2.661 Å, intensity 100, (1 1 2)
- 2θ = 41.14°, 2.194 Å, intensity 44, (2 0 0)
- 2θ = 33.04°, 2.711 Å, intensity 25, (1 0 3)
- 2θ = 70.22°, 1.340 Å, intensity 23, (3 1 2)
- 2θ = 26.64°, 3.346 Å, intensity 18, (1 0 2)
- 2θ = 48.67°, 1.871 Å, intensity 18, (1 0 5)

=====

No. 2
The following is a computed powder X-ray diffraction pattern of La3Cu3Sb4. It was derived from DFT lattice parameters and positions (PBE), using Cu Kα.
Neutral-atom scattering factors, no anomalous dispersion.

Crystal structure
Lattice parameters (Å, degrees): 9.8909 9.8909 9.8909 90.00 90.00 90.00
Space group I-43d (No. 220)
Unique sites:
1 La 0.0000 0.2500 0.8750 x12
2 Cu 0.0000 0.2500 0.3750 x12
3 Sb 0.0797 0.4203 0.5797 x16

The 6 most intense peaks (2θ = 15–90°), by intensity:
- 2θ = 33.91°, 2.643 Å, intensity 100, (3 2 1)
- 2θ = 28.54°, 3.128 Å, intensity 50, (3 1 0)
- 2θ = 40.80°, 2.212 Å, intensity 33, (4 2 0)
- 2θ = 44.90°, 2.019 Å, intensity 17, (4 2 2)
- 2θ = 57.43°, 1.605 Å, intensity 16, (6 1 1)
- 2θ = 59.07°, 1.564 Å, intensity 14, (6 2 0)

=====

No. 3
The following is a computed powder X-ray diffraction pattern of La3CuSnSe7. It was derived from DFT lattice parameters and positions (PBE), using Cu Kα.
Neutral-atom scattering factors, no anomalous dispersion.

Crystal structure
Lattice parameters (Å, degrees): 10.8065 10.8065 6.3618 90.00 90.00 120.00
Space group P6_3 (No. 173)
Unique sites:
1 La 0.1347 0.7797 0.0000 x6
2 Cu 0.0000 0.0000 0.0359 x2
3 Sn 0.3333 0.6667 0.4210 x2
4 Se 0.0862 0.5140 0.2516 x6
5 Se 0.0975 0.8439 0.5233 x6
6 Se 0.3333 0.6667 0.8177 x2

The 6 most intense peaks (2θ = 15–90°), by intensity:
- 2θ = 33.16°, 2.702 Å, intensity 100, (2 2 0)
- 2θ = 34.08°, 2.631 Å, intensity 58, (2 0 2)
- 2θ = 29.66°, 3.012 Å, intensity 57, (1 0 2)
- 2θ = 23.60°, 3.769 Å, intensity 56, (2 0 1)
- 2θ = 28.88°, 3.092 Å, intensity 49, (2 1 1)
- 2θ = 31.95°, 2.801 Å, intensity 46, (3 0 1)

=====

No. 4
The following is a computed powder X-ray diffraction pattern of La2CuSi3. It was derived from DFT lattice parameters and positions (PBE), using Cu Kα.
Neutral-atom scattering factors, no anomalous dispersion.

Crystal structure
Lattice parameters (Å, degrees): 4.1502 4.1502 8.6318 90.00 90.00 120.00
Space group P-6m2 (No. 187)
Unique sites:
1 La 0.0000 0.0000 0.2481 x2
2 Cu 0.3333 0.6667 0.0000 x1
3 Si 0.3333 0.6667 0.5000 x1
4 Si 0.6667 0.3333 0.0000 x1
5 Si 0.6667 0.3333 0.5000 x1

The 6 most intense peaks (2θ = 15–90°), by intensity:
- 2θ = 32.42°, 2.762 Å, intensity 100, (1 0 2)
- 2θ = 43.62°, 2.075 Å, intensity 32, (1 1 0)
- 2θ = 24.77°, 3.594 Å, intensity 31, (1 0 0)
- 2θ = 62.05°, 1.496 Å, intensity 22, (1 1 4)
- 2θ = 55.38°, 1.659 Å, intensity 21, (2 0 2)
- 2θ = 73.02°, 1.296 Å, intensity 18, (2 1 2)

=====

No. 5
The following is a computed powder X-ray diffraction pattern of LaCu2Sn2. It was derived from DFT lattice parameters and positions (PBE), using Cu Kα.
Neutral-atom scattering factors, no anomalous dispersion.

Crystal structure
Lattice parameters (Å, degrees): 4.5409 4.5409 10.5588 90.00 90.00 90.00
Space group P4/nmm (No. 129, origin choice 2)
Unique sites:
1 La 0.2500 0.2500 0.2394 x2
2 Cu 0.2500 0.2500 0.6332 x2
3 Cu 0.2500 0.7500 0.0000 x2
4 Sn 0.2500 0.2500 0.8747 x2
5 Sn 0.2500 0.7500 0.5000 x2

The 6 most intense peaks (2θ = 15–90°), by intensity:
- 2θ = 32.64°, 2.743 Å, intensity 100, (1 1 2)
- 2θ = 39.70°, 2.270 Å, intensity 71, (2 0 0)
- 2θ = 32.18°, 2.782 Å, intensity 63, (1 0 3)
- 2θ = 51.99°, 1.759 Å, intensity 33, (2 1 3)
- 2θ = 67.61°, 1.386 Å, intensity 24, (3 1 2)
- 2θ = 57.40°, 1.605 Å, intensity 24, (2 2 0)

=====

No. 6
The following is a computed powder X-ray diffraction pattern of La6ZnCu. It was derived from DFT lattice parameters and positions (PBE), using Cu Kα.
Neutral-atom scattering factors, no anomalous dispersion.

Crystal structure
Lattice parameters (Å, degrees): 4.9469 4.9469 9.8900 90.00 90.00 90.00
Space group P4/mmm (No. 123)
Unique sites:
1 La 0.0000 0.0000 0.0000 x1
2 La 0.0000 0.0000 0.5000 x1
3 La 0.0000 0.5000 0.2477 x4
4 Zn 0.5000 0.5000 0.5000 x1
5 Cu 0.5000 0.5000 0.0000 x1

The 6 most intense peaks (2θ = 15–90°), by intensity:
- 2θ = 31.32°, 2.856 Å, intensity 100, (1 1 2)
- 2θ = 36.33°, 2.473 Å, intensity 50, (2 0 0)
- 2θ = 62.25°, 1.491 Å, intensity 41, (3 1 2)
- 2θ = 52.31°, 1.749 Å, intensity 35, (2 2 0)
- 2θ = 85.59°, 1.135 Å, intensity 17, (3 3 2)
- 2θ = 88.38°, 1.106 Å, intensity 16, (4 2 0)

=====

No. 7
The following is a computed powder X-ray diffraction pattern of LiMg6Cu. It was derived from DFT lattice parameters and positions (PBE), using Cu Kα.
Neutral-atom scattering factors, no anomalous dispersion.

Crystal structure
Lattice parameters (Å, degrees): 4.9786 6.1250 10.6387 90.00 90.00 90.00
Space group Amm2 (No. 38)
Unique sites:
1 Li 0.0000 0.0000 0.0000 x2
2 Mg 0.0000 0.0000 0.4966 x2
3 Mg 0.0000 0.2406 0.2425 x4
4 Mg 0.5000 0.0000 0.6629 x2
5 Mg 0.5000 0.2466 0.9157 x4
6 Cu 0.5000 0.0000 0.1646 x2

The 6 most intense peaks (2θ = 15–90°), by intensity:
- 2θ = 38.42°, 2.343 Å, intensity 100, (1 2 2)
- 2θ = 33.74°, 2.656 Å, intensity 29, (0 0 4)
- 2θ = 36.08°, 2.489 Å, intensity 26, (2 0 0)
- 2θ = 16.68°, 5.314 Å, intensity 22, (0 0 2)
- 2θ = 24.51°, 3.632 Å, intensity 20, (1 1 1)
- 2θ = 66.43°, 1.407 Å, intensity 18, (3 2 2)

=====

No. 8
The following is a computed powder X-ray diffraction pattern of LiMg14Cu. It was derived from DFT lattice parameters and positions (PBE), using Cu Kα.
Neutral-atom scattering factors, no anomalous dispersion.

Crystal structure
Lattice parameters (Å, degrees): 9.8898 6.3601 10.9475 90.00 90.00 90.00
Space group Amm2 (No. 38)
Unique sites:
1 Li 0.0000 0.0000 0.0000 x2
2 Mg 0.0000 0.2465 0.2458 x4
3 Mg 0.2378 0.2448 0.4190 x8
4 Mg 0.2408 0.0000 0.6605 x4
5 Mg 0.2509 0.0000 0.1641 x4
6 Mg 0.5000 0.0000 0.4975 x2
7 Mg 0.5000 0.0000 0.9969 x2
8 Mg 0.5000 0.2491 0.7491 x4
9 Cu 0.0000 0.0000 0.4984 x2

The 6 most intense peaks (2θ = 15–90°), by intensity:
- 2θ = 37.42°, 2.403 Å, intensity 100, (2 2 2)
- 2θ = 37.56°, 2.395 Å, intensity 48, (2 0 4)
- 2θ = 36.34°, 2.472 Å, intensity 35, (4 0 0)
- 2θ = 66.12°, 1.413 Å, intensity 24, (6 2 2)
- 2θ = 32.56°, 2.750 Å, intensity 24, (0 2 2)
- 2θ = 18.46°, 4.805 Å, intensity 20, (1 1 1)

=====

No. 9
The following is a computed powder X-ray diffraction pattern of LiMg6Cu. It was derived from DFT lattice parameters and positions (PBE), using Cu Kα.
Neutral-atom scattering factors, no anomalous dispersion.

Crystal structure
Lattice parameters (Å, degrees): 4.8868 6.2297 10.5386 90.00 90.00 90.00
Space group Amm2 (No. 38)
Unique sites:
1 Li 0.0000 0.0000 0.0000 x2
2 Mg 0.0000 0.2489 0.7510 x4
3 Mg 0.5000 0.0000 0.3382 x2
4 Mg 0.5000 0.0000 0.8353 x2
5 Mg 0.5000 0.2448 0.5790 x4
6 Cu 0.0000 0.0000 0.5006 x2

The 6 most intense peaks (2θ = 15–90°), by intensity:
- 2θ = 38.29°, 2.351 Å, intensity 100, (1 2 2)
- 2θ = 38.83°, 2.319 Å, intensity 47, (1 0 4)
- 2θ = 16.53°, 5.363 Å, intensity 45, (0 1 1)
- 2θ = 36.78°, 2.443 Å, intensity 37, (2 0 0)
- 2θ = 24.65°, 3.612 Å, intensity 31, (1 1 1)
- 2θ = 33.42°, 2.681 Å, intensity 24, (0 2 2)

=====

No. 10
The following is a computed powder X-ray diffraction pattern of LiMg14Cu. It was derived from DFT lattice parameters and positions (PBE), using Cu Kα.
Neutral-atom scattering factors, no anomalous dispersion.

Crystal structure
Lattice parameters (Å, degrees): 6.3329 6.3329 9.9035 90.00 90.00 120.00
Space group P-6m2 (No. 187)
Unique sites:
1 Li 0.0000 0.0000 0.0000 x1
2 Mg 0.0015 0.5008 0.0000 x3
3 Mg 0.1617 0.3235 0.2561 x6
4 Mg 0.5014 0.0028 0.5000 x3
5 Mg 0.6667 0.3333 0.2484 x2
6 Cu 0.0000 0.0000 0.5000 x1

The 6 most intense peaks (2θ = 15–90°), by intensity:
- 2θ = 37.49°, 2.399 Å, intensity 100, (2 0 2)
- 2θ = 32.66°, 2.742 Å, intensity 25, (2 0 0)
- 2θ = 36.28°, 2.476 Å, intensity 24, (0 0 4)
- 2θ = 70.62°, 1.334 Å, intensity 18, (2 2 4)
- 2θ = 18.49°, 4.798 Å, intensity 18, (1 0 1)
- 2θ = 58.28°, 1.583 Å, intensity 17, (2 2 0)

=====

No. 11
The following is a computed powder X-ray diffraction pattern of LiCu3N3. It was derived from DFT lattice parameters and positions (PBE), using Cu Kα.
Neutral-atom scattering factors, no anomalous dispersion.

Crystal structure
Lattice parameters (Å, degrees): 4.0352 4.0352 4.0352 90.00 90.00 90.00
Space group Pm-3m (No. 221)
Unique sites:
1 Li 0.0000 0.0000 0.0000 x1
2 Cu 0.0000 0.5000 0.5000 x3
3 N 0.0000 0.0000 0.5000 x3

The 6 most intense peaks (2θ = 15–90°), by intensity:
- 2θ = 38.65°, 2.330 Å, intensity 100, (1 1 1)
- 2θ = 44.93°, 2.018 Å, intensity 99, (2 0 0)
- 2θ = 65.42°, 1.427 Å, intensity 56, (2 2 0)
- 2θ = 31.35°, 2.853 Å, intensity 54, (1 1 0)
- 2θ = 78.64°, 1.217 Å, intensity 36, (3 1 1)
- 2θ = 22.03°, 4.035 Å, intensity 25, (1 0 0)

=====

No. 12
The following is a computed powder X-ray diffraction pattern of Li3CuN2. It was derived from DFT lattice parameters and positions (PBE), using Cu Kα.
Neutral-atom scattering factors, no anomalous dispersion.

Crystal structure
Lattice parameters (Å, degrees): 6.6055 10.0008 7.3367 90.00 90.00 90.00
Space group Cmce (No. 64)
Unique sites:
1 Li 0.0000 0.1710 0.2194 x8
2 Li 0.2165 0.1292 0.4978 x16
3 Cu 0.0000 0.0732 0.8032 x8
4 N 0.0000 0.2255 0.9542 x8
5 N 0.2500 0.0035 0.2500 x8

The 6 most intense peaks (2θ = 15–90°), by intensity:
- 2θ = 21.51°, 4.132 Å, intensity 100, (0 2 1)
- 2θ = 34.77°, 2.580 Å, intensity 63, (2 2 1)
- 2θ = 30.22°, 2.958 Å, intensity 59, (0 2 2)
- 2θ = 27.00°, 3.303 Å, intensity 52, (2 0 0)
- 2θ = 17.74°, 5.000 Å, intensity 52, (0 2 0)
- 2θ = 40.35°, 2.235 Å, intensity 48, (1 1 3)